# 1
For CuPbCl3, a cell relaxed with PBE gives the theoretical powder XRD pattern in this record (Cu Kα (λ = 1.5418 Å)).
Peak positions follow from Bragg's law for the DFT cell and can differ from measured ones.

Top 10 peaks for 2θ from 5° to 70°, in order of rising 2θ:
d [Å]	Rel. int.
6.828	100
5.440	80
4.976	27
3.338	87
3.234	56
2.747	59
2.432	25
2.398	39
2.268	31
2.253	27

Atomic structure:
Lattice parameters (Å, degrees): 5.3429 13.6552 9.0030 90.00 90.00 90.00
Element x y z (fractional)
Cu (0.0000, 0.0000, 0.0000)
Cu (0.0000, 0.0000, 0.5000)
Cu (0.5000, 0.5000, 0.0000)
Cu (0.5000, 0.5000, 0.5000)
Pb (0.0000, 0.4225, 0.2500)
Pb (0.0000, 0.5775, 0.7500)
Pb (0.5000, 0.0775, 0.7500)
Pb (0.5000, 0.9225, 0.2500)
Cl (0.0000, 0.1573, 0.7500)
Cl (0.0000, 0.8427, 0.2500)
Cl (0.2015, 0.4132, 0.5871)
Cl (0.2015, 0.5868, 0.0871)
Cl (0.2985, 0.0868, 0.0871)
Cl (0.2985, 0.9132, 0.5871)
Cl (0.5000, 0.3427, 0.2500)
Cl (0.5000, 0.6573, 0.7500)
Cl (0.7015, 0.0868, 0.4129)
Cl (0.7015, 0.9132, 0.9129)
Cl (0.7985, 0.4132, 0.9129)
Cl (0.7985, 0.5868, 0.4129)

=====

# 2
For KPuNpBr6, a cell relaxed with PBE gives the theoretical powder XRD pattern in this record (Cu Kα (λ = 1.5418 Å)).
Peak positions follow from Bragg's law for the DFT cell and can differ from measured ones.

Top 10 peaks for 2θ from 5° to 70°, in order of rising 2θ:
d [Å]	Rel. int.
7.247	69
6.556	42
4.862	59
3.355	100
2.617	89
2.345	21
2.185	42
2.092	19
2.036	31
1.678	21

Atomic structure:
Lattice parameters (Å, degrees): 7.5704 7.5704 14.4936 90.00 90.00 120.00
Element x y z (fractional)
K (0.0000, 0.0000, 0.0000)
K (0.0000, 0.0000, 0.5000)
Pu (0.3333, 0.6667, 0.2500)
Pu (0.6667, 0.3333, 0.7500)
Np (0.3333, 0.6667, 0.7500)
Np (0.6667, 0.3333, 0.2500)
Br (0.0028, 0.3663, 0.6342)
Br (0.0028, 0.6365, 0.8658)
Br (0.3635, 0.3663, 0.8658)
Br (0.3635, 0.9972, 0.6342)
Br (0.3663, 0.0028, 0.1342)
Br (0.3663, 0.3635, 0.3658)
Br (0.6337, 0.6365, 0.6342)
Br (0.6337, 0.9972, 0.8658)
Br (0.6365, 0.0028, 0.3658)
Br (0.6365, 0.6337, 0.1342)
Br (0.9972, 0.3635, 0.1342)
Br (0.9972, 0.6337, 0.3658)

=====

# 3
For BaMgZr, a cell relaxed with PBE gives the theoretical powder XRD pattern in this record (Cu Kα (λ = 1.5418 Å)).
Peak positions follow from Bragg's law for the DFT cell and can differ from measured ones.

Top 10 peaks for 2θ from 5° to 70°, in order of rising 2θ:
d [Å]	Rel. int.
15.310	100
3.827	55
3.489	47
3.276	72
2.856	61
2.838	64
2.672	42
2.659	37
2.511	60
2.498	50

Atomic structure:
Lattice parameters (Å, degrees): 3.5448 3.5504 15.3460 92.43 93.09 90.13
Element x y z (fractional)
Ba (0.0000, 0.0000, 0.0000)
Ba (0.3107, 0.3469, 0.2528)
Mg (0.4600, 0.4665, 0.8159)
Mg (0.9318, 0.9448, 0.6985)
Zr (0.4018, 0.4218, 0.5724)
Zr (0.8707, 0.8969, 0.4500)

=====

# 4
For La2UZnRh6, a cell relaxed with PBE gives the theoretical powder XRD pattern in this record (Cu Kα (λ = 1.5418 Å)).
Peak positions follow from Bragg's law for the DFT cell and can differ from measured ones.

Top 10 peaks for 2θ from 5° to 70°, in order of rising 2θ:
d [Å]	Rel. int.
4.829	24
4.535	35
3.357	46
2.852	20
2.415	33
2.284	35
2.268	100
2.076	30
1.869	34
1.426	27

Atomic structure:
Lattice parameters (Å, degrees): 8.3054 8.3054 8.3054 40.17 40.17 40.17
Element x y z (fractional)
La (0.2137, 0.2137, 0.2137)
La (0.7863, 0.7863, 0.7863)
U (0.0000, 0.0000, 0.0000)
Zn (0.5000, 0.5000, 0.5000)
Rh (0.2493, 0.2493, 0.7417)
Rh (0.2493, 0.7417, 0.2493)
Rh (0.2583, 0.7507, 0.7507)
Rh (0.7417, 0.2493, 0.2493)
Rh (0.7507, 0.2583, 0.7507)
Rh (0.7507, 0.7507, 0.2583)

=====

# 5
For LiAg2HgF8, a cell relaxed with PBE gives the theoretical powder XRD pattern in this record (Cu Kα (λ = 1.5418 Å)).
Peak positions follow from Bragg's law for the DFT cell and can differ from measured ones.

Top 10 peaks for 2θ from 5° to 70°, in order of rising 2θ:
d [Å]	Rel. int.
5.404	17
4.833	28
3.821	17
3.120	100
2.998	10
2.702	20
2.417	11
2.358	10
1.911	65
1.629	44

Atomic structure:
Lattice parameters (Å, degrees): 6.6187 6.6187 6.6187 131.81 131.81 70.52
Element x y z (fractional)
Li (0.0000, 0.0000, 0.0000)
Ag (0.5000, 0.5000, 0.0000)
Ag (0.7500, 0.2500, 0.5000)
Hg (0.2500, 0.7500, 0.5000)
F (0.1202, 0.6237, 0.9864)
F (0.1224, 0.1374, 0.5062)
F (0.3763, 0.3627, 0.4965)
F (0.3838, 0.8776, 0.0150)
F (0.6312, 0.6162, 0.4938)
F (0.6373, 0.1339, 0.0136)
F (0.8626, 0.3688, 0.9850)
F (0.8661, 0.8798, 0.5035)